(1)
Theoretical powder diffraction line list of MgVSbO4 for copper Kα, from a DFT-relaxed cell (PBE+U, the Materials Project).

Crystal structure
```
data_MgVSbO4
_cell_length_a 5.1793
_cell_length_b 3.1260
_cell_length_c 5.5800
_cell_angle_alpha 90.00
_cell_angle_beta 93.74
_cell_angle_gamma 90.00
_space_group_name_H-M_alt 'P 1'
_space_group_IT_number 1
loop_
_space_group_symop_operation_xyz
'x,y,z'
loop_
_atom_site_label
_atom_site_type_symbol
_atom_site_fract_x
_atom_site_fract_y
_atom_site_fract_z
Mg1 Mg 0.0000 0.0000 0.0000
V1 V 0.5000 0.5311 0.0000
Sb1 Sb 0.0000 0.1899 0.5000
O1 O 0.1694 0.5162 0.2169
O2 O 0.3188 0.0452 0.8122
O3 O 0.6812 0.0452 0.1878
O4 O 0.8306 0.5162 0.7831
```

Top 12 peaks for 2θ = 15–90°, by intensity:
22.7°, I = 100
24.2°, I = 86
17.2°, I = 85
46.3°, I = 78
33.5°, I = 73
32.9°, I = 65
48.0°, I = 56
34.7°, I = 38
32.2°, I = 38
36.8°, I = 37
37.8°, I = 35
28.6°, I = 31


(2)
Theoretical powder diffraction line list of MgVSbO4 for copper Kα, from a DFT-relaxed cell (PBE+U, the Materials Project).

Crystal structure
```
data_MgVSbO4
_cell_length_a 3.1415
_cell_length_b 5.5498
_cell_length_c 5.5498
_cell_angle_alpha 73.20
_cell_angle_beta 90.00
_cell_angle_gamma 90.00
_space_group_name_H-M_alt 'P 1'
_space_group_IT_number 1
loop_
_space_group_symop_operation_xyz
'x,y,z'
loop_
_atom_site_label
_atom_site_type_symbol
_atom_site_fract_x
_atom_site_fract_y
_atom_site_fract_z
Mg1 Mg 0.0000 0.0000 0.0000
V1 V 0.0000 0.6857 0.6857
Sb1 Sb 0.5000 0.3036 0.3036
O1 O 0.0000 0.3738 0.9896
O2 O 0.0000 0.9896 0.3738
O3 O 0.5000 0.5446 0.5446
O4 O 0.5000 0.8610 0.8610
```

Top 12 peaks for 2θ = 15–90°, by intensity:
33.1°, I = 100
26.9°, I = 56
51.6°, I = 40
16.7°, I = 38
19.9°, I = 38
34.9°, I = 31
44.7°, I = 24
50.2°, I = 21
57.9°, I = 16
33.7°, I = 15
44.1°, I = 13
39.6°, I = 10


(3)
Theoretical powder diffraction line list of MgV2Sb2O8 for copper Kα, from a DFT-relaxed cell (PBE+U, the Materials Project).

Crystal structure
```
data_MgV2Sb2O8
_cell_length_a 6.0777
_cell_length_b 6.0848
_cell_length_c 6.3085
_cell_angle_alpha 94.93
_cell_angle_beta 117.89
_cell_angle_gamma 115.11
_space_group_name_H-M_alt 'P 1'
_space_group_IT_number 1
loop_
_space_group_symop_operation_xyz
'x,y,z'
loop_
_atom_site_label
_atom_site_type_symbol
_atom_site_fract_x
_atom_site_fract_y
_atom_site_fract_z
Mg1 Mg 0.0000 0.0000 0.0000
V1 V 0.0174 0.6859 0.7060
V2 V 0.7691 0.3052 0.0767
Sb1 Sb 0.2971 0.2893 0.5893
Sb2 Sb 0.5043 0.7086 0.2150
O1 O 0.1657 0.3804 0.1607
O2 O 0.2587 0.8604 0.1228
O3 O 0.2770 0.5340 0.8129
O4 O 0.3338 0.0595 0.8022
O5 O 0.7395 0.4637 0.8008
O6 O 0.7504 0.8472 0.6004
O7 O 0.7646 0.5359 0.3026
O8 O 0.7778 0.9928 0.1600
```

Top 12 peaks for 2θ = 15–90°, by intensity:
21.2°, I = 100
27.3°, I = 89
33.5°, I = 54
32.5°, I = 52
35.0°, I = 32
28.4°, I = 27
17.2°, I = 25
19.5°, I = 25
17.9°, I = 25
34.4°, I = 24
46.5°, I = 24
34.9°, I = 24


(4)
Theoretical powder diffraction line list of MgVSb4O12 for copper Kα, from a DFT-relaxed cell (PBE+U, the Materials Project).

Crystal structure
```
data_MgVSb4O12
_cell_length_a 5.0984
_cell_length_b 5.5460
_cell_length_c 7.9460
_cell_angle_alpha 83.61
_cell_angle_beta 89.92
_cell_angle_gamma 89.29
_space_group_name_H-M_alt 'P 1'
_space_group_IT_number 1
loop_
_space_group_symop_operation_xyz
'x,y,z'
loop_
_atom_site_label
_atom_site_type_symbol
_atom_site_fract_x
_atom_site_fract_y
_atom_site_fract_z
Mg1 Mg 0.0000 0.0000 0.0000
V1 V 0.5097 0.5157 0.9996
Sb1 Sb 0.0203 0.3917 0.2578
Sb2 Sb 0.5017 0.9023 0.2555
Sb3 Sb 0.5169 0.9227 0.6978
Sb4 Sb 0.9936 0.4132 0.6989
O1 O 0.1715 0.4265 0.4740
O2 O 0.2008 0.1020 0.7842
O3 O 0.2108 0.6961 0.1346
O4 O 0.3100 0.2074 0.1334
O5 O 0.3111 0.5982 0.7895
O6 O 0.3429 0.9235 0.4730
O7 O 0.6500 0.8587 0.9399
O8 O 0.6734 0.5633 0.2395
O9 O 0.7038 0.2205 0.6177
O10 O 0.8097 0.7192 0.6220
O11 O 0.8433 0.3616 0.9392
O12 O 0.8480 0.0636 0.2441
```

Top 12 peaks for 2θ = 15–90°, by intensity:
23.6°, I = 100
23.9°, I = 97
22.5°, I = 91
31.6°, I = 61
31.8°, I = 59
34.1°, I = 55
32.5°, I = 52
52.8°, I = 37
34.3°, I = 36
35.2°, I = 35
42.2°, I = 28
48.3°, I = 22


Copy entry 2 word for word.
Theoretical powder diffraction line list of MgVSbO4 for copper Kα, from a DFT-relaxed cell (PBE+U, the Materials Project).

Crystal structure
```
data_MgVSbO4
_cell_length_a 3.1415
_cell_length_b 5.5498
_cell_length_c 5.5498
_cell_angle_alpha 73.20
_cell_angle_beta 90.00
_cell_angle_gamma 90.00
_space_group_name_H-M_alt 'P 1'
_space_group_IT_number 1
loop_
_space_group_symop_operation_xyz
'x,y,z'
loop_
_atom_site_label
_atom_site_type_symbol
_atom_site_fract_x
_atom_site_fract_y
_atom_site_fract_z
Mg1 Mg 0.0000 0.0000 0.0000
V1 V 0.0000 0.6857 0.6857
Sb1 Sb 0.5000 0.3036 0.3036
O1 O 0.0000 0.3738 0.9896
O2 O 0.0000 0.9896 0.3738
O3 O 0.5000 0.5446 0.5446
O4 O 0.5000 0.8610 0.8610
```

Top 12 peaks for 2θ = 15–90°, by intensity:
33.1°, I = 100
26.9°, I = 56
51.6°, I = 40
16.7°, I = 38
19.9°, I = 38
34.9°, I = 31
44.7°, I = 24
50.2°, I = 21
57.9°, I = 16
33.7°, I = 15
44.1°, I = 13
39.6°, I = 10